AcGeS4: theoretical PXRD pattern (CuKα), based on DFT lattice parameters and positions (PBE).
Kinematic intensities with the Lorentz-polarization factor, no thermal factor.

Structure:
a = 6.0056 Å, b = 9.5405 Å, c = 6.0127 Å
α = 90.00°, β = 98.87°, γ = 90.00°
Sites, in units of the cell vectors:
Ac: 0.1447 0.2500 0.1419
Ac: 0.8553 0.7500 0.8581
Ge: 0.3643 0.7500 0.3674
Ge: 0.6357 0.2500 0.6326
S: 0.1806 0.5704 0.1839
S: 0.1806 0.9296 0.1839
S: 0.2714 0.2500 0.6603
S: 0.3369 0.7500 0.7312
S: 0.6631 0.2500 0.2688
S: 0.7286 0.7500 0.3397
S: 0.8194 0.0704 0.8161
S: 0.8194 0.4296 0.8161

Main lines, low angle first (2θ from 10° to 80°):
- 17.59 deg, I 34
- 18.60 deg, I 96
- 19.45 deg, I 81
- 24.62 deg, I 54
- 31.56 deg, I 100
- 41.62 deg, I 61

---

BaTm2In3: theoretical PXRD pattern (CuKα), based on DFT lattice parameters and positions (PBE).
Kinematic intensities with the Lorentz-polarization factor, no thermal factor.

Structure:
a = 3.8367 Å, b = 3.8367 Å, c = 12.0357 Å
α = 90.00°, β = 90.00°, γ = 90.00°
Sites, in units of the cell vectors:
Ba: 0.0000 0.0000 0.0000
Tm: 0.0000 0.0000 0.3505
Tm: 0.0000 0.0000 0.6495
In: 0.5000 0.5000 0.2059
In: 0.5000 0.5000 0.5000
In: 0.5000 0.5000 0.7941

Main lines, low angle first (2θ from 10° to 80°):
- 32.28 deg, I 100
- 33.02 deg, I 58
- 38.00 deg, I 16
- 47.39 deg, I 21
- 57.10 deg, I 10
- 58.51 deg, I 36

---

K2HoAlO4: theoretical PXRD pattern (CuKα), based on DFT lattice parameters and positions (PBE).
Kinematic intensities with the Lorentz-polarization factor, no thermal factor.

Structure:
a = 5.7892 Å, b = 5.7892 Å, c = 8.5106 Å
α = 90.00°, β = 90.00°, γ = 90.00°
Sites, in units of the cell vectors:
K: 0.0000 0.0000 0.0000
K: 0.0000 0.5000 0.2500
K: 0.5000 0.0000 0.7500
K: 0.5000 0.5000 0.5000
Ho: 0.0000 0.0000 0.5000
Ho: 0.5000 0.5000 0.0000
Al: 0.0000 0.5000 0.7500
Al: 0.5000 0.0000 0.2500
O: 0.1356 0.7217 0.6350
O: 0.2217 0.3644 0.8650
O: 0.2783 0.1356 0.3650
O: 0.3644 0.7783 0.1350
O: 0.6356 0.2217 0.1350
O: 0.7217 0.8644 0.3650
O: 0.7783 0.6356 0.8650
O: 0.8644 0.2783 0.6350

Main lines, low angle first (2θ from 10° to 80°):
- 18.54 deg, I 74
- 21.71 deg, I 23
- 30.30 deg, I 100
- 30.89 deg, I 34
- 53.45 deg, I 23
- 54.57 deg, I 34

---

Rb2IrBrCl6: theoretical PXRD pattern (CuKα), based on DFT lattice parameters and positions (PBE).
Kinematic intensities with the Lorentz-polarization factor, no thermal factor.

Structure:
a = 7.7546 Å, b = 7.7546 Å, c = 7.7546 Å
α = 120.52°, β = 120.52°, γ = 89.10°
Sites, in units of the cell vectors:
Rb: 0.2500 0.7500 0.5000
Rb: 0.7500 0.2500 0.5000
Ir: 0.0000 0.0000 0.0000
Br: 0.5000 0.5000 0.0000
Cl: 0.2119 0.2119 0.0000
Cl: 0.2155 0.2155 0.4310
Cl: 0.2155 0.7845 0.0000
Cl: 0.7845 0.2155 0.0000
Cl: 0.7845 0.7845 0.5690
Cl: 0.7881 0.7881 0.0000

Main lines, low angle first (2θ from 10° to 80°):
- 14.03 deg, I 51
- 22.94 deg, I 100
- 23.12 deg, I 49
- 32.93 deg, I 54
- 40.51 deg, I 40
- 46.87 deg, I 35

---

LiZr2Te4: theoretical PXRD pattern (CuKα), based on DFT lattice parameters and positions (PBE).
Kinematic intensities with the Lorentz-polarization factor, no thermal factor.

Structure:
a = 15.8053 Å, b = 4.0023 Å, c = 6.9291 Å
α = 90.00°, β = 115.88°, γ = 90.00°
Sites, in units of the cell vectors:
Li: 0.0000 0.0000 0.0000
Li: 0.5000 0.5000 0.0000
Zr: 0.2495 0.0000 0.2585
Zr: 0.2505 0.5000 0.7415
Zr: 0.7495 0.5000 0.2585
Zr: 0.7505 0.0000 0.7415
Te: 0.1212 0.0000 0.4598
Te: 0.1247 0.5000 0.9548
Te: 0.3753 0.0000 0.0452
Te: 0.3788 0.5000 0.5402
Te: 0.6212 0.5000 0.4598
Te: 0.6247 0.0000 0.9548
Te: 0.8753 0.5000 0.0452
Te: 0.8788 0.0000 0.5402

Main lines, low angle first (2θ from 10° to 80°):
- 12.45 deg, I 16
- 28.66 deg, I 100
- 36.20 deg, I 47
- 45.33 deg, I 30
- 46.41 deg, I 24
- 54.51 deg, I 16

---

Na2OsO4: theoretical PXRD pattern (CuKα), based on DFT lattice parameters and positions (PBE).
Kinematic intensities with the Lorentz-polarization factor, no thermal factor.

Structure:
a = 9.6887 Å, b = 9.6887 Å, c = 3.2024 Å
α = 90.00°, β = 90.00°, γ = 120.00°
Sites, in units of the cell vectors:
Na: 0.0000 0.0000 0.0000
Na: 0.0000 0.6909 0.5000
Na: 0.3091 0.3091 0.5000
Na: 0.3333 0.6667 0.5000
Na: 0.6667 0.3333 0.5000
Na: 0.6909 0.0000 0.5000
Os: 0.0000 0.3279 0.0000
Os: 0.3279 0.0000 0.0000
Os: 0.6721 0.6721 0.0000
O: 0.0000 0.1935 0.5000
O: 0.0000 0.4548 0.5000
O: 0.1935 0.0000 0.5000
O: 0.2153 0.4319 0.0000
O: 0.2167 0.7847 0.0000
O: 0.4319 0.2153 0.0000
O: 0.4548 0.0000 0.5000
O: 0.5452 0.5452 0.5000
O: 0.5681 0.7833 0.0000
O: 0.7833 0.5681 0.0000
O: 0.7847 0.2167 0.0000
O: 0.8065 0.8065 0.5000

Main lines, low angle first (2θ from 10° to 80°):
- 18.31 deg, I 100
- 32.00 deg, I 36
- 33.55 deg, I 51
- 42.93 deg, I 15
- 47.04 deg, I 25
- 58.03 deg, I 26

---

Dy3U2Se6: theoretical PXRD pattern (CuKα), based on DFT lattice parameters and positions (PBE).
Kinematic intensities with the Lorentz-polarization factor, no thermal factor.

Structure:
a = 20.3716 Å, b = 20.3716 Å, c = 20.3716 Å
α = 11.47°, β = 11.47°, γ = 11.47°
Sites, in units of the cell vectors:
Dy: 0.0000 0.0000 0.0000
Dy: 0.2779 0.2779 0.2779
Dy: 0.7221 0.7221 0.7221
U: 0.4440 0.4440 0.4440
U: 0.5560 0.5560 0.5560
Se: 0.0822 0.0822 0.0822
Se: 0.1969 0.1969 0.1969
Se: 0.3608 0.3608 0.3608
Se: 0.6392 0.6392 0.6392
Se: 0.8031 0.8031 0.8031
Se: 0.9178 0.9178 0.9178

Main lines, low angle first (2θ from 10° to 80°):
- 30.08 deg, I 100
- 32.74 deg, I 34
- 44.52 deg, I 50
- 45.35 deg, I 39
- 54.67 deg, I 19
- 72.85 deg, I 23

---

PmY2Er7: theoretical PXRD pattern (CuKα), based on DFT lattice parameters and positions (PBE).
Kinematic intensities with the Lorentz-polarization factor, no thermal factor.

Structure:
a = 6.1152 Å, b = 7.0711 Å, c = 7.9023 Å
α = 103.09°, β = 97.40°, γ = 106.79°
Sites, in units of the cell vectors:
Pm: 0.0000 0.0000 0.0000
Y: 0.2005 0.4001 0.3998
Y: 0.7995 0.5999 0.6002
Er: 0.0000 0.5000 0.0000
Er: 0.2017 0.9007 0.4003
Er: 0.3987 0.2996 0.8007
Er: 0.4000 0.8004 0.8003
Er: 0.6000 0.1996 0.1997
Er: 0.6013 0.7004 0.1993
Er: 0.7983 0.0993 0.5997

Main lines, low angle first (2θ from 10° to 80°):
- 31.01 deg, I 100
- 35.96 deg, I 50
- 51.73 deg, I 24
- 51.83 deg, I 12
- 61.54 deg, I 18
- 61.62 deg, I 21